Entry 1:
# Nd7Hg2Pt2
Calculated powder X-ray diffraction pattern, CuKα. Input: a cell relaxed with GGA-PBE.

Top 6 peaks for 2θ from 10° to 90°, in order of rising 2θ:
2θ 19.77, rel. 42.8, hkl 0 2 1; 2θ 24.57, rel. 50.4, hkl 2 0 1; 2θ 27.67, rel. 32.3, hkl 1 1 2; 2θ 31.54, rel. 56.5, hkl 0 4 0; 2θ 35.73, rel. 46.6, hkl 1 3 2; 2θ 36.24, rel. 100.0, hkl 2 2 2

Atomic structure:
abc: 8.3306 11.3475 7.3495
angles: 90.00 90.00 90.00
Space group Cmmm (No. 65)
Symmetry-distinct sites (fractional):
1 Nd 0.0000 0.0000 0.0000 x2
2 Nd 0.0000 0.5000 0.2509 x4
3 Nd 0.2500 0.2500 0.2569 x8
4 Hg 0.1766 0.0000 0.5000 x4
5 Pt 0.0000 0.2892 0.0000 x4

Entry 2:
# ScFe2AuS
Calculated powder X-ray diffraction pattern, CuKα. Input: a cell relaxed with GGA-PBE.

Top 6 peaks for 2θ from 10° to 90°, in order of rising 2θ:
2θ 28.23, rel. 58.4, hkl 1 0 1; 2θ 35.54, rel. 100.0, hkl 1 1 1; 2θ 37.50, rel. 30.9, hkl 0 0 2; 2θ 43.05, rel. 41.5, hkl 2 0 0; 2θ 58.39, rel. 32.5, hkl 2 0 2; 2θ 74.02, rel. 22.4, hkl 3 1 1

Atomic structure:
abc: 4.2026 4.2026 4.7965
angles: 90.00 90.00 90.00
Space group P4/mmm (No. 123)
Symmetry-distinct sites (fractional):
1 Sc 0.0000 0.0000 0.0000 x1
2 Fe 0.0000 0.5000 0.5000 x2
3 Au 0.5000 0.5000 0.0000 x1
4 S 0.0000 0.0000 0.5000 x1

Please write out number 1 again, unchanged.
# Nd7Hg2Pt2
Calculated powder X-ray diffraction pattern, CuKα. Input: a cell relaxed with GGA-PBE.

Top 6 peaks for 2θ from 10° to 90°, in order of rising 2θ:
2θ 19.77, rel. 42.8, hkl 0 2 1; 2θ 24.57, rel. 50.4, hkl 2 0 1; 2θ 27.67, rel. 32.3, hkl 1 1 2; 2θ 31.54, rel. 56.5, hkl 0 4 0; 2θ 35.73, rel. 46.6, hkl 1 3 2; 2θ 36.24, rel. 100.0, hkl 2 2 2

Atomic structure:
abc: 8.3306 11.3475 7.3495
angles: 90.00 90.00 90.00
Space group Cmmm (No. 65)
Symmetry-distinct sites (fractional):
1 Nd 0.0000 0.0000 0.0000 x2
2 Nd 0.0000 0.5000 0.2509 x4
3 Nd 0.2500 0.2500 0.2569 x8
4 Hg 0.1766 0.0000 0.5000 x4
5 Pt 0.0000 0.2892 0.0000 x4